Diffraction record for Pa3CoPt2. The powder X-ray diffraction pattern is calculated, not measured: it uses a crystal structure in Alexandria, relaxed with GGA-PBE and λ = 1.5418 Å (Cu Kα).
Neutral-atom scattering factors, no anomalous dispersion.

Most intense lines, 2θ from 5° to 70°, sorted by position:
| h k l | Position (°2θ) | d (Å) | I (rel.) |
| --- | --- | --- | --- |
| 1 2 2 | 32.20 | 2.780 | 100.0 |
| 0 1 -2 | 32.31 | 2.771 | 46.4 |
| 0 2 -1 | 33.15 | 2.702 | 40.6 |
| 1 0 -2 | 36.45 | 2.465 | 33.0 |
| 2 0 1 | 36.57 | 2.457 | 73.5 |
| 1 2 3 | 38.04 | 2.365 | 44.8 |
| 1 3 1 | 42.57 | 2.124 | 28.4 |
| 1 1 4 | 45.66 | 1.987 | 22.2 |
| 2 -1 3 | 49.59 | 1.838 | 28.6 |
| 2 2 0 | 50.18 | 1.818 | 25.9 |

Cell and atoms:
Lattice parameters (Å, degrees): 4.9141 7.2180 8.0021 70.30 72.13 90.00
Space group P-1 (No. 2)
Asymmetric unit:
Pa 0.0282 0.2534 0.4425 x2
Pa 0.3400 0.3185 0.8199 x2
Pa 0.3826 0.8973 0.7342 x2
Co 0.4883 0.6621 0.5254 x2
Pt 0.1798 0.9527 0.1413 x2
Pt 0.2153 0.5511 0.0694 x2

***

Diffraction record for Pr2GaCuO6. The powder X-ray diffraction pattern is calculated, not measured: it uses a crystal structure in Alexandria, relaxed with GGA-PBE and λ = 1.5418 Å (Cu Kα).
Neutral-atom scattering factors, no anomalous dispersion.

Most intense lines, 2θ from 5° to 70°, sorted by position:
| h k l | Position (°2θ) | d (Å) | I (rel.) |
| --- | --- | --- | --- |
| 1 1 -1 | 23.30 | 3.818 | 13.4 |
| 1 1 1 | 30.77 | 2.906 | 100.0 |
| 1 1 -3 | 32.04 | 2.794 | 83.9 |
| 2 0 -2 | 33.18 | 2.700 | 71.6 |
| 0 0 4 | 42.27 | 2.138 | 27.5 |
| 2 2 -2 | 47.63 | 1.909 | 38.7 |
| 0 2 4 | 54.77 | 1.676 | 19.8 |
| 3 1 -1 | 57.00 | 1.616 | 19.2 |
| 3 1 -5 | 59.33 | 1.558 | 17.3 |
| 2 2 2 | 64.09 | 1.453 | 12.6 |

Cell and atoms:
Lattice parameters (Å, degrees): 5.4087 5.3999 9.8712 90.00 119.96 90.00
Space group P2_1/c (No. 14)
Asymmetric unit:
Pr 0.2234 0.0384 0.2420 x4
Ga 0.5000 0.0000 0.0000 x2
Cu 0.0000 0.0000 0.5000 x2
O 0.1568 0.2285 0.9489 x4
O 0.2040 0.7126 0.9387 x4
O 0.3706 0.0163 0.7828 x4